(1)
The following is a calculated X-ray diffraction stick pattern of VCrSe2. It was derived from the GGA-PBE geometry in the Materials Project, using copper Kα.

Atomic structure:
```
VCrSe2
1.0
3.3214 -1.9233 0.0000
3.3214 1.9233 0.0000
-0.0056 0.0000 5.6654
V Cr Se
1 1 2
direct
0.0000 0.0000 0.0000 V
0.0000 0.0000 0.5000 Cr
0.3331 0.3331 0.2447 Se
0.6669 0.6669 0.7553 Se
```

Largest 6 diffraction maxima, in order of rising 2θ, 10° ≤ 2θ ≤ 90°:
d (Å)  I_rel
2.868  100.0
2.157  76.5
1.923  18.2
1.919  36.2
1.642  18.2
1.435  12.7

(2)
The following is a calculated X-ray diffraction stick pattern of Cr3Si. It was derived from the GGA-PBE geometry in the Materials Project, using copper Kα.

Atomic structure:
```
Cr3Si
1.0
4.5188 0.0000 0.0000
0.0000 4.5188 0.0000
0.0000 0.0000 4.5188
Cr Si
6 2
direct
0.0000 0.2500 0.5000 Cr
0.0000 0.7500 0.5000 Cr
0.2500 0.5000 0.0000 Cr
0.5000 0.0000 0.2500 Cr
0.5000 0.0000 0.7500 Cr
0.7500 0.5000 0.0000 Cr
0.0000 0.0000 0.0000 Si
0.5000 0.5000 0.5000 Si
```

Largest 6 diffraction maxima, in order of rising 2θ, 10° ≤ 2θ ≤ 90°:
d (Å)  I_rel
3.195  10.8
2.259  21.2
2.021  100.0
1.845  43.3
1.253  17.5
1.208  19.5

(3)
The following is a calculated X-ray diffraction stick pattern of CrSi. It was derived from the GGA-PBE geometry in the Materials Project, using copper Kα.

Atomic structure:
```
CrSi
1.0
4.5995 0.0000 0.0000
0.0000 4.5995 0.0000
0.0000 0.0000 4.5995
Cr Si
4 4
direct
0.1379 0.1379 0.1379 Cr
0.3621 0.8621 0.6379 Cr
0.6379 0.3621 0.8621 Cr
0.8621 0.6379 0.3621 Cr
0.1528 0.3472 0.6528 Si
0.3472 0.6528 0.1528 Si
0.6528 0.1528 0.3472 Si
0.8472 0.8472 0.8472 Si
```

Largest 6 diffraction maxima, in order of rising 2θ, 10° ≤ 2θ ≤ 90°:
d (Å)  I_rel
3.252  15.6
2.656  16.2
2.057  100.0
1.878  52.1
1.387  10.8
1.229  28.1

(4)
The following is a calculated X-ray diffraction stick pattern of SmCr2Si2. It was derived from the GGA-PBE geometry in the Materials Project, using copper Kα.

Atomic structure:
```
SmCr2Si2
1.0
-1.9496 1.9496 5.3805
1.9496 -1.9496 5.3805
1.9496 1.9496 -5.3805
Sm Cr Si
1 2 2
direct
0.0000 0.0000 0.0000 Sm
0.2500 0.7500 0.5000 Cr
0.7500 0.2500 0.5000 Cr
0.3817 0.3817 0.0000 Si
0.6183 0.6183 0.0000 Si
```

Largest 6 diffraction maxima, in order of rising 2θ, 10° ≤ 2θ ≤ 90°:
d (Å)  I_rel
3.666  47.0
2.640  61.1
2.454  100.0
1.950  35.3
1.884  25.6
1.568  24.8

(5)
The following is a calculated X-ray diffraction stick pattern of TaCr4Si. It was derived from the GGA-PBE geometry in the Materials Project, using copper Kα.

Atomic structure:
```
TaCr4Si
1.0
4.8683 0.0000 0.0000
-2.4342 4.2161 0.0000
0.0000 0.0000 7.6407
Ta Cr Si
2 8 2
direct
0.3333 0.6667 0.0662 Ta
0.6667 0.3333 0.9338 Ta
0.0000 0.0000 0.0000 Cr
0.0000 0.0000 0.5000 Cr
0.1718 0.3436 0.7383 Cr
0.1718 0.8282 0.7383 Cr
0.3436 0.1718 0.2617 Cr
0.6564 0.8282 0.7383 Cr
0.8282 0.1718 0.2617 Cr
0.8282 0.6564 0.2617 Cr
0.3333 0.6667 0.4316 Si
0.6667 0.3333 0.5684 Si
```

Largest 6 diffraction maxima, in order of rising 2θ, 10° ≤ 2θ ≤ 90°:
d (Å)  I_rel
7.641  100.0
2.831  47.1
2.434  56.6
2.180  91.9
2.053  93.9
2.032  73.1

(6)
The following is a calculated X-ray diffraction stick pattern of Ta3Cr8Si. It was derived from the GGA-PBE geometry in the Materials Project, using copper Kα.

Atomic structure:
```
Ta3Cr8Si
1.0
4.8461 0.0000 0.0000
-2.4230 4.1968 0.0000
0.0000 0.0000 7.9561
Ta Cr Si
3 8 1
direct
0.0000 0.0000 0.0000 Ta
0.0000 0.0000 0.3830 Ta
0.3333 0.6667 0.8730 Ta
0.0094 0.5047 0.1929 Cr
0.3279 0.1640 0.6866 Cr
0.4953 0.5047 0.1929 Cr
0.4953 0.9906 0.1929 Cr
0.6667 0.3333 0.4400 Cr
0.6667 0.3333 0.9407 Cr
0.8360 0.1640 0.6866 Cr
0.8360 0.6721 0.6866 Cr
0.3333 0.6667 0.5033 Si
```

Largest 6 diffraction maxima, in order of rising 2θ, 10° ≤ 2θ ≤ 90°:
d (Å)  I_rel
3.712  32.5
2.423  65.1
2.242  98.2
2.069  100.0
2.029  54.9
1.361  37.3